Starting from a crystal structure in the Materials Project, relaxed with GGA-PBE, the powder X-ray diffraction pattern of Zr3MnCo8 was computed for λ = 1.5418 Å (Cu Kα).
Intensities are scaled so that the largest is 1000.

Peak list (10 most intense, 2θ from 10° to 90°, low angle first)
2θ (°)  I/Imax
34.3  48
37.4  381
44.2  1000
46.3  240
46.4  80
67.5  92
72.2  203
72.3  54
79.8  122
80.0  90

Atomic structure:
Cell: 8.309 8.309 8.309 Å, 33.63 33.63 33.63°
Element x y z (fractional)
Zr  0.000  0.000  0.000
Zr  0.130  0.130  0.130
Zr  0.612  0.612  0.612
Mn  0.486  0.486  0.486
Co  0.060  0.060  0.561
Co  0.060  0.561  0.060
Co  0.064  0.563  0.563
Co  0.312  0.312  0.312
Co  0.561  0.060  0.060
Co  0.563  0.064  0.563
Co  0.563  0.563  0.064
Co  0.812  0.812  0.812